1.
This entry pairs a crystal structure of TmCd2Pb with its calculated X-ray diffraction stick pattern. Radiation: CuKα. Structure: a crystal structure in Alexandria, relaxed with GGA-PBE.

The 10 most intense peaks (2θ from 10° to 90°), by angle:
h k l  2θ (°)  d [Å]  intensity
0 0 2  17.73  5.004  6.1
1 1 2  33.44  2.680  100.0
0 0 4  35.89  2.502  20.6
2 0 0  40.19  2.244  30.1
2 0 4  54.97  1.670  24.4
2 2 0  58.14  1.587  10.1
1 1 6  62.95  1.476  15.9
3 1 2  68.76  1.365  24.5
2 2 4  70.25  1.340  12.3
2 0 8  89.75  1.093  6.4

Structure:
```
TmCd2Pb
1.0
4.4878 0.0000 0.0000
0.0000 4.4878 0.0000
0.0000 0.0000 10.0076
Tm Cd Pb
2 4 2
direct
0.0000 0.0000 0.0000
0.5000 0.5000 0.5000
0.0000 0.5000 0.2500
0.0000 0.5000 0.7500
0.5000 0.0000 0.2500
0.5000 0.0000 0.7500
0.0000 0.0000 0.5000
0.5000 0.5000 0.0000
```



2.
This entry pairs a crystal structure of CdPb2W with its calculated X-ray diffraction stick pattern. Radiation: CuKα. Structure: a crystal structure in Alexandria, relaxed with GGA-PBE.

The 10 most intense peaks (2θ from 10° to 90°), by angle:
h k l  2θ (°)  d [Å]  intensity
0 0 3  24.50  3.633  12.6
1 1 1  31.66  2.826  9.6
0 0 4  32.87  2.725  15.0
1 1 2  34.80  2.578  100.0
0 2 0  36.07  2.490  27.6
1 1 3  39.54  2.279  12.7
2 0 0  50.47  1.808  10.7
2 2 0  63.59  1.463  10.8
1 3 2  64.04  1.454  17.3
1 1 7  68.23  1.374  13.1

Structure:
```
CdPb2W
1.0
3.6165 0.0000 0.0000
0.0000 4.9801 0.0000
0.0000 0.0000 10.8986
Cd Pb W
2 4 2
direct
0.0000 0.0000 0.0000
0.5000 0.5000 0.0000
0.0000 0.0000 0.5782
0.0000 0.5000 0.2464
0.5000 0.0000 0.2464
0.5000 0.5000 0.5782
0.0000 0.5000 0.7951
0.5000 0.0000 0.7951
```